Diffraction record for Dy12HoEr5. The PXRD pattern is theoretical, not measured: it uses the GGA-PBE geometry in Alexandria and a wavelength of 1.5418 Å.

Structure:
```
Dy12HoEr5
1.0
3.0604 -5.2993 0.0000
3.0604 5.2993 0.0000
-2.0354 0.0000 17.1378
Dy Ho Er
12 1 5
Direct
0.0562 0.3897 0.1662 Dy
0.1121 0.1121 0.3331 Dy
0.2212 0.5545 0.6669 Dy
0.2773 0.2773 0.8338 Dy
0.3897 0.0562 0.1662 Dy
0.4455 0.7788 0.3331 Dy
0.5545 0.2212 0.6669 Dy
0.6103 0.9438 0.8338 Dy
0.7227 0.7227 0.1662 Dy
0.7788 0.4455 0.3331 Dy
0.8879 0.8879 0.6669 Dy
0.9438 0.6103 0.8338 Dy
0.0000 0.0000 0.0000 Ho
0.1666 0.8334 0.5000 Er
0.3333 0.6667 0.0000 Er
0.5000 0.5000 0.5000 Er
0.6667 0.3333 0.0000 Er
0.8334 0.1666 0.5000 Er
```

Main lines, low angle first (5° ≤ 2θ ≤ 70°):
2θ 30.02, I = 23.2; 2θ 30.48, I = 89.7; 2θ 31.32, I = 87.2; 2θ 31.68, I = 34.1; 2θ 32.41, I = 100.0; 2θ 34.10, I = 89.4; 2θ 35.05, I = 26.1; 2θ 37.15, I = 52.1; 2θ 51.74, I = 64.5; 2θ 61.74, I = 75.9